No. 1
This entry pairs a crystal structure of Ta5Nb5Si6 with its computed powder X-ray diffraction pattern. Radiation: copper Kα. Structure: a GGA-PBE-relaxed structure.

Cell and atoms:
Unit cell a=7.5384 b=7.5384 c=10.0306 alpha=131.61 beta=131.61 gamma=39.71
Positions (direct):
Ta  0.0000  0.0000  0.0000
Ta  0.1749  0.6750  0.6458
Ta  0.3497  0.3497  0.8498
Ta  0.5003  0.5003  0.4409
Ta  0.6750  0.1749  0.6458
Nb  0.1446  0.1446  0.4407
Nb  0.2051  0.2051  0.0009
Nb  0.6445  0.6445  0.2896
Nb  0.7053  0.7053  0.8497
Nb  0.8497  0.8497  0.2903
Si  0.0899  0.0899  0.6455
Si  0.1748  0.6748  0.1452
Si  0.2602  0.2602  0.3159
Si  0.5893  0.5893  0.9744
Si  0.6748  0.1748  0.1452
Si  0.7599  0.7599  0.6453

Most intense lines, 2θ = 10–90°, by intensity:
2theta	I (rel.)
41.05	100
36.75	77
43.59	72
40.18	68
28.12	60
39.52	49
26.40	44
17.67	28
12.47	26
37.34	25



No. 2
This entry pairs a crystal structure of Cs2P2Pd3 with its computed powder X-ray diffraction pattern. Radiation: copper Kα. Structure: a GGA-PBE-relaxed structure.

Cell and atoms:
Unit cell a=7.0688 b=7.0190 c=7.8239 alpha=90.00 beta=110.78 gamma=90.00
Positions (direct):
Cs  0.1891  0.1100  0.4243
Cs  0.1891  0.3900  0.9243
Cs  0.8109  0.6100  0.0757
Cs  0.8109  0.8900  0.5757
P  0.3339  0.6332  0.6082
P  0.3339  0.8668  0.1082
P  0.6661  0.1332  0.8918
P  0.6661  0.3668  0.3918
Pd  0.0000  0.0000  0.0000
Pd  0.0000  0.5000  0.5000
Pd  0.4305  0.6249  0.3483
Pd  0.4305  0.8751  0.8483
Pd  0.5695  0.1249  0.1517
Pd  0.5695  0.3751  0.6517

Most intense lines, 2θ = 10–90°, by intensity:
2theta	I (rel.)
28.39	100
33.21	62
36.77	56
26.53	47
31.89	44
28.20	38
29.88	38
52.00	29
52.06	27
29.36	26



No. 3
This entry pairs a crystal structure of Np2S2O with its computed powder X-ray diffraction pattern. Radiation: copper Kα. Structure: a GGA-PBE-relaxed structure.

Cell and atoms:
Unit cell a=7.6338 b=7.6338 c=6.9646 alpha=90.00 beta=90.00 gamma=150.93
Positions (direct):
Np  0.0546  0.9454  0.5000
Np  0.3315  0.6685  0.4089
Np  0.6685  0.3315  0.9089
Np  0.9454  0.0546  0.0000
S  0.2981  0.7019  0.0205
S  0.4547  0.5453  0.6974
S  0.5453  0.4547  0.1974
S  0.7019  0.2981  0.5205
O  0.0960  0.9040  0.8366
O  0.9040  0.0960  0.3366

Most intense lines, 2θ = 10–90°, by intensity:
2theta	I (rel.)
27.29	100
29.54	40
39.46	35
25.58	34
32.27	25
40.72	20
51.11	19
35.37	18
46.15	17
55.63	17



No. 4
This entry pairs a crystal structure of Pm6HgPt2 with its computed powder X-ray diffraction pattern. Radiation: copper Kα. Structure: a GGA-PBE-relaxed structure.

Cell and atoms:
Unit cell a=8.7693 b=8.7693 c=8.7693 alpha=113.74 beta=109.93 gamma=104.86
Positions (direct):
Pm  0.0401  0.2365  0.8035
Pm  0.1798  0.2892  0.4690
Pm  0.1798  0.7108  0.8906
Pm  0.3301  0.0266  0.6965
Pm  0.3301  0.6337  0.3035
Pm  0.4330  0.2365  0.1965
Pm  0.5670  0.7635  0.8035
Pm  0.6699  0.3663  0.6965
Pm  0.6699  0.9734  0.3035
Pm  0.8202  0.2892  0.1094
Pm  0.8202  0.7108  0.5310
Pm  0.9599  0.7635  0.1965
Hg  0.0000  0.0000  0.0000
Hg  0.5000  0.5000  0.0000
Pt  0.1326  0.6326  0.5000
Pt  0.3431  0.0000  0.3431
Pt  0.6569  0.0000  0.6569
Pt  0.8674  0.3674  0.5000

Most intense lines, 2θ = 10–90°, by intensity:
2theta	I (rel.)
32.87	100
30.71	77
33.66	68
32.54	67
58.03	39
37.53	36
37.82	34
34.28	33
18.51	25
54.72	20